(1)
Theoretical powder XRD pattern
Compound: Zn2Cd4Au5
Radiation: a wavelength of 1.5418 Å
Structure: a cell relaxed with PBE
No peak broadening, texture or thermal motion is included.

Most intense lines, 2θ from 10° to 80°, in order of falling intensity:
index, 2theta, intensity
3 2 1, 36.70, 100.0
1 6 1, 35.71, 58.4
1 7 0, 36.29, 55.3
1 3 2, 38.17, 45.4
0 0 2, 33.42, 41.1
2 5 1, 36.43, 38.9
2 9 1, 53.04, 35.5
2 4 2, 44.50, 32.2
3 3 0, 34.42, 30.9
2 0 2, 39.52, 30.1

```
data_Zn2Cd4Au5
_chemical_formula_sum 'Zn8 Cd16 Au20'
_cell_length_a 8.669
_cell_length_b 18.083
_cell_length_c 5.363
_cell_angle_alpha 90.00
_cell_angle_beta 90.00
_cell_angle_gamma 90.00
_space_group_name_H-M_alt 'I b a m'
_space_group_IT_number 72
_space_group_name_Hall '-I 2 2c'
loop_
_atom_site_label
_atom_site_fract_x
_atom_site_fract_y
_atom_site_fract_z
_atom_site_occupancy
Zn1 0.000 0.201 0.250 1
Cd1 0.104 0.356 0.000 1
Cd2 0.234 0.063 0.000 1
Au1 0.000 0.500 0.250 1
Au2 0.092 0.079 0.500 1
Au3 0.210 0.283 0.500 1
```



(2)
Theoretical powder XRD pattern
Compound: K3CuI2O9
Radiation: a wavelength of 1.5418 Å
Structure: a cell relaxed with PBE
No peak broadening, texture or thermal motion is included.

Most intense lines, 2θ from 10° to 80°, in order of falling intensity:
index, 2theta, intensity
1 1 0, 31.17, 100.0
1 0 1, 21.90, 54.6
2 0 2, 44.65, 38.8
3 0 0, 55.51, 27.9
0 2 4, 64.88, 11.3
2 2 0, 65.11, 11.2
2 1 1, 50.33, 11.0
1 0 4, 55.30, 9.6
1 1 3, 50.20, 9.5
2 1 4, 73.76, 8.3

```
data_K3CuI2O9
_chemical_formula_sum 'K3 Cu1 I2 O9'
_cell_length_a 5.7309
_cell_length_b 5.7309
_cell_length_c 7.0515
_cell_angle_alpha 90.00
_cell_angle_beta 90.00
_cell_angle_gamma 120.00
_space_group_name_H-M_alt 'P -3 m 1'
_space_group_IT_number 164
_space_group_name_Hall '-P 3 2"'
loop_
_atom_site_label
_atom_site_fract_x
_atom_site_fract_y
_atom_site_fract_z
_atom_site_occupancy
K1 0.0000 0.0000 0.0000 1
K2 0.3333 0.6667 0.6652 1
Cu1 0.0000 0.0000 0.5000 1
I1 0.3333 0.6667 0.1819 1
O1 0.0000 0.5000 0.0000 1
O2 0.1724 0.3448 0.3229 1
```



(3)
Theoretical powder XRD pattern
Compound: BaMgCd2Sn
Radiation: a wavelength of 1.5418 Å
Structure: a cell relaxed with PBE
No peak broadening, texture or thermal motion is included.

Most intense lines, 2θ from 10° to 80°, in order of falling intensity:
index, 2theta, intensity
1 1 2, 29.84, 100.0
0 1 3, 28.00, 94.9
2 0 0, 37.55, 74.6
1 0 5, 39.93, 61.6
1 2 5, 55.96, 45.5
2 1 3, 47.48, 44.8
1 1 0, 26.31, 37.7
1 1 4, 38.71, 30.1
0 1 1, 19.79, 29.4
2 2 0, 54.14, 25.4

```
data_BaMgCd2Sn
_chemical_formula_sum 'Ba2 Mg2 Cd4 Sn2'
_cell_length_a 4.791
_cell_length_b 4.791
_cell_length_c 12.801
_cell_angle_alpha 90.00
_cell_angle_beta 90.00
_cell_angle_gamma 90.00
_space_group_name_H-M_alt 'I m m 2'
_space_group_IT_number 44
loop_
_space_group_symop_operation_xyz
'x,y,z'
'-x,-y,z'
'-x,y,z'
'x,-y,z'
'x+1/2,y+1/2,z+1/2'
'-x+1/2,-y+1/2,z+1/2'
'-x+1/2,y+1/2,z+1/2'
'x+1/2,-y+1/2,z+1/2'
loop_
_atom_site_label
_atom_site_fract_x
_atom_site_fract_y
_atom_site_fract_z
_atom_site_occupancy
Ba1 0.000 0.000 0.000 1
Mg1 0.000 0.500 0.756 1
Cd1 0.000 0.000 0.619 1
Cd2 0.000 0.500 0.253 1
Sn1 0.000 0.000 0.392 1
```



(4)
Theoretical powder XRD pattern
Compound: PrPa2Co9
Radiation: a wavelength of 1.5418 Å
Structure: a cell relaxed with PBE
No peak broadening, texture or thermal motion is included.

Most intense lines, 2θ from 10° to 80°, in order of falling intensity:
index, 2theta, intensity
1 1 6, 42.90, 100.0
1 1 0, 36.58, 76.3
1 0 7, 33.04, 75.2
0 1 8, 36.01, 58.5
0 2 1, 42.65, 46.2
0 0 3, 10.78, 30.6
0 1 11, 45.81, 27.3
1 0 1, 21.19, 26.5
2 2 0, 77.74, 24.8
2 1 7, 63.61, 23.6

```
data_PrPa2Co9
_chemical_formula_sum 'Pr3 Pa6 Co27'
_cell_length_a 4.9136
_cell_length_b 4.9136
_cell_length_c 24.6209
_cell_angle_alpha 90.00
_cell_angle_beta 90.00
_cell_angle_gamma 120.00
_space_group_name_H-M_alt 'R -3 m'
_space_group_IT_number 166
_space_group_name_Hall '-R 3 2"'
loop_
_atom_site_label
_atom_site_fract_x
_atom_site_fract_y
_atom_site_fract_z
_atom_site_occupancy
Pr1 0.0000 0.0000 0.0000 1
Pa1 0.0000 0.0000 0.1380 1
Co1 0.0000 0.0000 0.3331 1
Co2 0.0000 0.0000 0.5000 1
Co3 0.0001 0.5001 0.0830 1
```